# Li2Fe3P9O28
Simulated X-ray powder pattern, a wavelength of 1.5418 Å. Input: DFT lattice parameters and positions (PBE+U).
Kinematic intensities with the Lorentz-polarization factor, no thermal factor.

Peak list (6 most intense, 10 to 90 degrees two-theta, low angle first)
- (1 1 -1), 17.13°, intensity 100
- (-1 1 1), 18.18°, intensity 65
- (1 -2 1), 23.16°, intensity 47
- (0 2 -2), 23.77°, intensity 64
- (0 1 2), 29.46°, intensity 78
- (2 -2 0), 30.01°, intensity 34

Cell and atoms:
a = 7.105 Å, b = 9.062 Å, c = 9.205 Å
α = 111.25°, β = 109.17°, γ = 98.31°
Space group P-1 (No. 2)
Symmetry-distinct sites (fractional):
Li1 0.220 0.419 0.254 (multiplicity 2)
Fe1 0.000 0.000 0.000 (multiplicity 1)
Fe2 0.266 0.523 0.763 (multiplicity 2)
P1 0.183 0.200 0.424 (multiplicity 2)
P2 0.184 0.739 0.532 (multiplicity 2)
P3 0.288 0.259 0.940 (multiplicity 2)
P4 0.365 0.838 0.111 (multiplicity 2)
P5 0.500 0.000 0.500 (multiplicity 1)
O1 0.027 0.850 0.550 (multiplicity 2)
O2 0.077 0.586 0.358 (multiplicity 2)
O3 0.080 0.163 0.919 (multiplicity 2)
O4 0.122 0.191 0.245 (multiplicity 2)
O5 0.244 0.659 0.981 (multiplicity 2)
O6 0.246 0.698 0.682 (multiplicity 2)
O7 0.265 0.337 0.818 (multiplicity 2)
O8 0.279 0.064 0.452 (multiplicity 2)
O9 0.280 0.970 0.075 (multiplicity 2)
O10 0.309 0.379 0.553 (multiplicity 2)
O11 0.382 0.859 0.552 (multiplicity 2)
O12 0.399 0.849 0.294 (multiplicity 2)
O13 0.406 0.123 0.886 (multiplicity 2)
O14 0.417 0.384 0.130 (multiplicity 2)


# LiFePO4
Simulated X-ray powder pattern, a wavelength of 1.5418 Å. Input: DFT lattice parameters and positions (PBE+U).
Kinematic intensities with the Lorentz-polarization factor, no thermal factor.

Peak list (6 most intense, 10 to 90 degrees two-theta, low angle first)
- (1 1 1), 20.40°, intensity 36
- (1 2 0), 25.52°, intensity 100
- (1 2 1), 26.44°, intensity 55
- (1 2 -1), 28.85°, intensity 45
- (0 2 2), 29.67°, intensity 63
- (0 2 -2), 33.34°, intensity 54

Cell and atoms:
a = 5.251 Å, b = 7.971 Å, c = 8.477 Å
α = 82.97°, β = 86.83°, γ = 76.05°
Space group P-1 (No. 2)
Symmetry-distinct sites (fractional):
Li1 0.193 0.320 0.068 (multiplicity 2)
Li2 0.256 0.809 0.396 (multiplicity 2)
Fe1 0.301 0.037 0.785 (multiplicity 2)
Fe2 0.333 0.560 0.734 (multiplicity 2)
P1 0.249 0.716 0.058 (multiplicity 2)
P2 0.255 0.207 0.412 (multiplicity 2)
O1 0.039 0.182 0.922 (multiplicity 2)
O2 0.052 0.334 0.301 (multiplicity 2)
O3 0.125 0.169 0.578 (multiplicity 2)
O4 0.234 0.555 0.975 (multiplicity 2)
O5 0.349 0.034 0.334 (multiplicity 2)
O6 0.383 0.663 0.222 (multiplicity 2)
O7 0.414 0.824 0.949 (multiplicity 2)
O8 0.493 0.289 0.429 (multiplicity 2)


# LiFePO4
Simulated X-ray powder pattern, a wavelength of 1.5418 Å. Input: DFT lattice parameters and positions (PBE+U).
Kinematic intensities with the Lorentz-polarization factor, no thermal factor.

Peak list (6 most intense, 10 to 90 degrees two-theta, low angle first)
- (2 0 0), 21.15°, intensity 57
- (1 1 -1), 21.57°, intensity 100
- (1 0 2), 26.75°, intensity 28
- (2 1 -1), 27.18°, intensity 13
- (0 2 0), 35.10°, intensity 22
- (1 1 -3), 35.96°, intensity 12

Cell and atoms:
a = 8.778 Å, b = 5.114 Å, c = 8.593 Å
α = 90.00°, β = 106.84°, γ = 90.00°
Space group Pc (No. 7)
Symmetry-distinct sites (fractional):
Li1 0.000 0.178 0.000 (multiplicity 2)
Li2 0.493 0.317 0.388 (multiplicity 2)
Fe1 0.247 0.183 0.758 (multiplicity 2)
Fe2 0.745 0.325 0.144 (multiplicity 2)
P1 0.121 0.308 0.375 (multiplicity 2)
P2 0.622 0.191 0.776 (multiplicity 2)
O1 0.097 0.178 0.530 (multiplicity 2)
O2 0.134 0.391 0.897 (multiplicity 2)
O3 0.273 0.200 0.339 (multiplicity 2)
O4 0.476 0.297 0.825 (multiplicity 2)
O5 0.609 0.110 0.254 (multiplicity 2)
O6 0.632 0.324 0.617 (multiplicity 2)
O7 0.773 0.269 0.916 (multiplicity 2)
O8 0.977 0.231 0.228 (multiplicity 2)


# LiFePO4
Simulated X-ray powder pattern, a wavelength of 1.5418 Å. Input: DFT lattice parameters and positions (PBE+U).
Kinematic intensities with the Lorentz-polarization factor, no thermal factor.

Peak list (6 most intense, 10 to 90 degrees two-theta, low angle first)
- (0 0 2), 22.11°, intensity 37
- (2 0 0), 31.38°, intensity 40
- (1 2 1), 36.13°, intensity 100
- (1 0 3), 37.07°, intensity 48
- (2 2 0), 44.24°, intensity 34
- (2 2 4), 65.03°, intensity 47

Cell and atoms:
a = 5.702 Å, b = 5.883 Å, c = 8.039 Å
α = 90.00°, β = 90.00°, γ = 90.00°
Space group Imma (No. 74)
Symmetry-distinct sites (fractional):
Li1 0.250 0.250 0.250 (multiplicity 4)
Fe1 0.000 0.000 0.000 (multiplicity 4)
P1 0.000 0.250 0.628 (multiplicity 4)
O1 0.000 0.031 0.737 (multiplicity 8)
O2 0.223 0.250 0.512 (multiplicity 8)


# Li2FeP2O7
Simulated X-ray powder pattern, a wavelength of 1.5418 Å. Input: DFT lattice parameters and positions (PBE+U).
Kinematic intensities with the Lorentz-polarization factor, no thermal factor.

Peak list (6 most intense, 10 to 90 degrees two-theta, low angle first)
- (0 0 1), 10.82°, intensity 59
- (0 1 -2), 21.41°, intensity 42
- (1 0 1), 23.23°, intensity 100
- (1 -2 0), 29.66°, intensity 33
- (0 2 -2), 30.39°, intensity 50
- (1 0 -3), 32.84°, intensity 45

Cell and atoms:
a = 5.420 Å, b = 6.518 Å, c = 8.933 Å
α = 107.91°, β = 99.44°, γ = 106.19°
Space group P-1 (No. 2)
Symmetry-distinct sites (fractional):
Li1 0.184 0.287 0.240 (multiplicity 2)
Li2 0.294 0.709 0.038 (multiplicity 2)
Fe1 0.396 0.895 0.637 (multiplicity 2)
P1 0.118 0.202 0.875 (multiplicity 2)
P2 0.262 0.347 0.600 (multiplicity 2)
O1 0.032 0.266 0.448 (multiplicity 2)
O2 0.138 0.345 0.753 (multiplicity 2)
O3 0.174 0.960 0.179 (multiplicity 2)
O4 0.177 0.387 0.044 (multiplicity 2)
O5 0.324 0.082 0.862 (multiplicity 2)
O6 0.434 0.192 0.584 (multiplicity 2)
O7 0.437 0.601 0.655 (multiplicity 2)


# LiFePO4
Simulated X-ray powder pattern, a wavelength of 1.5418 Å. Input: DFT lattice parameters and positions (PBE+U).
Kinematic intensities with the Lorentz-polarization factor, no thermal factor.

Peak list (6 most intense, 10 to 90 degrees two-theta, low angle first)
- (2 0 2), 21.68°, intensity 100
- (2 1 3), 31.54°, intensity 8
- (0 2 0), 35.07°, intensity 32
- (2 1 4), 36.11°, intensity 9
- (2 2 2), 41.60°, intensity 12
- (2 0 6), 43.40°, intensity 8

Cell and atoms:
a = 10.223 Å, b = 5.124 Å, c = 13.700 Å
α = 90.00°, β = 90.00°, γ = 90.00°
Space group Pca2_1 (No. 29)
Symmetry-distinct sites (fractional):
Li1 0.030 0.053 0.000 (multiplicity 4)
Li2 0.215 0.556 0.247 (multiplicity 4)
Fe1 0.030 0.933 0.749 (multiplicity 4)
Fe2 0.220 0.551 0.996 (multiplicity 4)
P1 0.033 0.443 0.623 (multiplicity 4)
P2 0.220 0.058 0.374 (multiplicity 4)
O1 0.012 0.142 0.623 (multiplicity 4)
O2 0.031 0.442 0.216 (multiplicity 4)
O3 0.032 0.439 0.030 (multiplicity 4)
O4 0.069 0.016 0.376 (multiplicity 4)
O5 0.181 0.514 0.622 (multiplicity 4)
O6 0.216 0.944 0.967 (multiplicity 4)
O7 0.226 0.921 0.781 (multiplicity 4)
O8 0.246 0.354 0.869 (multiplicity 4)


# LiFe2P2O8
Simulated X-ray powder pattern, a wavelength of 1.5418 Å. Input: DFT lattice parameters and positions (PBE+U).
Kinematic intensities with the Lorentz-polarization factor, no thermal factor.

Peak list (6 most intense, 10 to 90 degrees two-theta, low angle first)
- (0 1 1), 15.47°, intensity 74
- (1 0 -1), 21.31°, intensity 83
- (0 2 1), 21.69°, intensity 66
- (1 1 1), 23.25°, intensity 100
- (0 3 1), 29.37°, intensity 61
- (0 2 2), 31.23°, intensity 58

Cell and atoms:
a = 5.178 Å, b = 10.151 Å, c = 6.940 Å
α = 90.00°, β = 90.56°, γ = 90.00°
Space group P2_1 (No. 4)
Symmetry-distinct sites (fractional):
Li1 0.100 0.000 0.219 (multiplicity 2)
Fe1 0.086 0.877 0.750 (multiplicity 2)
Fe2 0.480 0.236 0.765 (multiplicity 2)
P1 0.026 0.646 0.482 (multiplicity 2)
P2 0.412 0.476 0.025 (multiplicity 2)
O1 0.011 0.996 0.516 (multiplicity 2)
O2 0.044 0.194 0.314 (multiplicity 2)
O3 0.121 0.442 0.012 (multiplicity 2)
O4 0.138 0.213 0.681 (multiplicity 2)
O5 0.309 0.688 0.441 (multiplicity 2)
O6 0.451 0.916 0.159 (multiplicity 2)
O7 0.452 0.629 0.016 (multiplicity 2)
O8 0.460 0.921 0.792 (multiplicity 2)


Repeat the fifth record exactly.
# Li2FeP2O7
Simulated X-ray powder pattern, a wavelength of 1.5418 Å. Input: DFT lattice parameters and positions (PBE+U).
Kinematic intensities with the Lorentz-polarization factor, no thermal factor.

Peak list (6 most intense, 10 to 90 degrees two-theta, low angle first)
- (0 0 1), 10.82°, intensity 59
- (0 1 -2), 21.41°, intensity 42
- (1 0 1), 23.23°, intensity 100
- (1 -2 0), 29.66°, intensity 33
- (0 2 -2), 30.39°, intensity 50
- (1 0 -3), 32.84°, intensity 45

Cell and atoms:
a = 5.420 Å, b = 6.518 Å, c = 8.933 Å
α = 107.91°, β = 99.44°, γ = 106.19°
Space group P-1 (No. 2)
Symmetry-distinct sites (fractional):
Li1 0.184 0.287 0.240 (multiplicity 2)
Li2 0.294 0.709 0.038 (multiplicity 2)
Fe1 0.396 0.895 0.637 (multiplicity 2)
P1 0.118 0.202 0.875 (multiplicity 2)
P2 0.262 0.347 0.600 (multiplicity 2)
O1 0.032 0.266 0.448 (multiplicity 2)
O2 0.138 0.345 0.753 (multiplicity 2)
O3 0.174 0.960 0.179 (multiplicity 2)
O4 0.177 0.387 0.044 (multiplicity 2)
O5 0.324 0.082 0.862 (multiplicity 2)
O6 0.434 0.192 0.584 (multiplicity 2)
O7 0.437 0.601 0.655 (multiplicity 2)


> What is the formula in the fourth record?

LiFePO4